This entry pairs a crystal structure of ScBi3Mo2O12 with its computed XRD peak list. Radiation: Cu Kα, 1.54184 Å. Structure: a cell relaxed with GGA+U.
Peak positions follow from Bragg's law for the DFT cell and can differ from measured ones.

Cell and atoms:
Cell lengths 10.4282, 10.4282, 5.3804 Å; angles 102.11, 102.11, 68.81 degrees
Element x y z (fractional)
Sc1 0.0886 0.9114 0.7500
Sc2 0.9114 0.0886 0.2500
Bi1 0.0376 0.2714 0.9368
Bi2 0.2714 0.0376 0.4368
Bi3 0.3354 0.6646 0.2500
Bi4 0.6646 0.3354 0.7500
Bi5 0.7286 0.9624 0.5632
Bi6 0.9624 0.7286 0.0632
Mo1 0.2019 0.4587 0.5685
Mo2 0.4587 0.2019 0.0685
Mo3 0.5413 0.7981 0.9315
Mo4 0.7981 0.5413 0.4315
O1 0.0588 0.1056 0.5843
O2 0.0704 0.4976 0.7671
O3 0.1056 0.0588 0.0843
O4 0.1554 0.7471 0.9667
O5 0.1671 0.5975 0.3722
O6 0.2048 0.2953 0.3650
O7 0.2529 0.8446 0.5333
O8 0.2953 0.2048 0.8650
O9 0.3605 0.4471 0.7755
O10 0.4025 0.8329 0.1278
O11 0.4471 0.3605 0.2755
O12 0.4976 0.0704 0.2671
O13 0.5024 0.9296 0.7329
O14 0.5529 0.6395 0.7245
O15 0.5975 0.1671 0.8722
O16 0.6395 0.5529 0.2245
O17 0.7047 0.7952 0.1350
O18 0.7471 0.1554 0.4667
O19 0.7952 0.7047 0.6350
O20 0.8329 0.4025 0.6278
O21 0.8446 0.2529 0.0333
O22 0.8944 0.9412 0.9157
O23 0.9296 0.5024 0.2329
O24 0.9412 0.8944 0.4157

Top 8 peaks for 10 to 90 degrees two-theta, by angle:
2θ 18.2, intensity 25
2θ 27.0, intensity 100
2θ 28.2, intensity 83
2θ 30.3, intensity 21
2θ 32.3, intensity 23
2θ 33.4, intensity 20
2θ 44.9, intensity 21
2θ 45.7, intensity 21